This entry pairs a crystal structure of Pa3Ga4Ni2 with its theoretical powder XRD pattern. Radiation: Cu Kα. Structure: a cell relaxed with PBE.

The 8 most intense peaks (10° ≤ 2θ ≤ 90°), by angle:
hkl  2theta  I_rel
1 1 -1  23.4  100
4 0 -1  35.0  40
3 1 0  35.3  94
1 1 2  35.9  84
0 0 3  36.1  44
3 1 -3  41.1  84
0 2 0  41.2  48
0 2 3  55.9  25

```
data_Pa3Ga4Ni2
_chemical_formula_sum 'Pa6 Ga8 Ni4'
_symmetry_space_group_name_H-M 'C 1 2/m 1'
_symmetry_Int_Tables_number 12
_symmetry_space_group_name_Hall '-C 2y'
_cell_length_a 10.3393
_cell_length_b 4.3824
_cell_length_c 8.2354
_cell_angle_alpha 90.00
_cell_angle_beta 115.14
_cell_angle_gamma 90.00
loop_
_atom_site_label
_atom_site_type_symbol
_atom_site_fract_x
_atom_site_fract_y
_atom_site_fract_z
Pa1 Pa 0.0000 0.0000 0.0000
Pa2 Pa 0.1807 0.5000 0.6507
Ga1 Ga 0.0315 0.0000 0.3675
Ga2 Ga 0.2187 0.5000 0.0597
Ni1 Ni 0.0926 0.5000 0.2673
```


This entry pairs a crystal structure of Pa5Ga2Ni with its theoretical powder XRD pattern. Radiation: Cu Kα. Structure: a cell relaxed with PBE.

The 8 most intense peaks (10° ≤ 2θ ≤ 90°), by angle:
hkl  2theta  I_rel
1 0 1  20.8  21
1 0 7  34.1  36
1 1 0  35.7  100
0 1 8  37.4  71
2 0 8  52.7  27
3 0 0  64.2  19
1 2 8  65.3  28
1 1 15  71.9  18

```
data_Pa5Ga2Ni
_chemical_formula_sum 'Pa15 Ga6 Ni3'
_symmetry_space_group_name_H-M 'R -3 m'
_symmetry_Int_Tables_number 166
_symmetry_space_group_name_Hall '-R 3 2"'
_cell_length_a 5.0267
_cell_length_b 5.0267
_cell_length_c 23.0953
_cell_angle_alpha 90.00
_cell_angle_beta 90.00
_cell_angle_gamma 120.00
loop_
_atom_site_label
_atom_site_type_symbol
_atom_site_fract_x
_atom_site_fract_y
_atom_site_fract_z
Pa1 Pa 0.0000 0.0000 0.0000
Pa2 Pa 0.0000 0.0000 0.1327
Pa3 Pa 0.0000 0.0000 0.2599
Ga1 Ga 0.0000 0.0000 0.3929
Ni1 Ni 0.0000 0.0000 0.5000
```


This entry pairs a crystal structure of Pa2Ga2Ni3 with its theoretical powder XRD pattern. Radiation: Cu Kα. Structure: a cell relaxed with PBE.

The 8 most intense peaks (10° ≤ 2θ ≤ 90°), by angle:
hkl  2theta  I_rel
0 4 1  23.5  21
0 0 2  25.8  19
0 6 1  32.4  34
1 1 2  35.4  84
1 5 1  36.6  100
0 4 3  44.1  30
2 0 0  47.6  24
2 4 3  66.9  17

```
data_Pa2Ga2Ni3
_chemical_formula_sum 'Pa8 Ga8 Ni12'
_symmetry_space_group_name_H-M 'C m c m'
_symmetry_Int_Tables_number 63
_symmetry_space_group_name_Hall '-C 2c 2'
_cell_length_a 3.8240
_cell_length_b 18.0800
_cell_length_c 6.9065
_cell_angle_alpha 90.00
_cell_angle_beta 90.00
_cell_angle_gamma 90.00
loop_
_atom_site_label
_atom_site_type_symbol
_atom_site_fract_x
_atom_site_fract_y
_atom_site_fract_z
Pa1 Pa 0.0000 0.0590 0.2500
Pa2 Pa 0.0000 0.1449 0.7500
Ga1 Ga 0.0000 0.3084 0.5600
Ni1 Ni 0.0000 0.2340 0.2500
Ni2 Ni 0.0000 0.4381 0.0574
```


This entry pairs a crystal structure of Pa6GaNi6 with its theoretical powder XRD pattern. Radiation: Cu Kα. Structure: a cell relaxed with PBE.

The 8 most intense peaks (10° ≤ 2θ ≤ 90°), by angle:
hkl  2theta  I_rel
1 1 2  26.5  56
1 3 0  33.9  100
2 0 0  34.3  49
0 0 4  36.0  40
1 3 2  38.6  59
0 2 4  41.2  42
2 2 2  43.8  68
1 3 6  66.4  42

```
data_Pa6GaNi6
_chemical_formula_sum 'Pa12 Ga2 Ni12'
_symmetry_space_group_name_H-M 'I m m m'
_symmetry_Int_Tables_number 71
_symmetry_space_group_name_Hall '-I 2 2'
_cell_length_a 5.2333
_cell_length_b 9.1799
_cell_length_c 9.9839
_cell_angle_alpha 90.00
_cell_angle_beta 90.00
_cell_angle_gamma 90.00
loop_
_atom_site_label
_atom_site_type_symbol
_atom_site_fract_x
_atom_site_fract_y
_atom_site_fract_z
Pa1 Pa 0.0000 0.0000 0.1765
Pa2 Pa 0.0000 0.3295 0.0000
Pa3 Pa 0.0000 0.3309 0.5000
Ga1 Ga 0.0000 0.0000 0.5000
Ni1 Ni 0.0000 0.5000 0.2483
Ni2 Ni 0.2500 0.2500 0.2500
```


This entry pairs a crystal structure of PaGa4Ni15 with its theoretical powder XRD pattern. Radiation: Cu Kα. Structure: a cell relaxed with PBE.

The 8 most intense peaks (10° ≤ 2θ ≤ 90°), by angle:
hkl  2theta  I_rel
1 0 1  24.6  4
1 1 4  40.1  5
1 1 5  43.0  100
2 0 0  49.3  34
0 0 10  51.6  13
2 2 0  72.4  10
2 0 10  74.2  17
3 1 5  88.1  23

```
data_PaGa4Ni15
_chemical_formula_sum 'Pa1 Ga4 Ni15'
_symmetry_space_group_name_H-M 'P 4/m m m'
_symmetry_Int_Tables_number 123
_symmetry_space_group_name_Hall '-P 4 2'
_cell_length_a 3.6935
_cell_length_b 3.6935
_cell_length_c 17.6985
_cell_angle_alpha 90.00
_cell_angle_beta 90.00
_cell_angle_gamma 90.00
loop_
_atom_site_label
_atom_site_type_symbol
_atom_site_fract_x
_atom_site_fract_y
_atom_site_fract_z
Pa1 Pa 0.0000 0.0000 0.0000
Ga1 Ga 0.0000 0.0000 0.2104
Ga2 Ga 0.0000 0.0000 0.4031
Ni1 Ni 0.0000 0.5000 0.1092
Ni2 Ni 0.0000 0.5000 0.3061
Ni3 Ni 0.0000 0.5000 0.5000
Ni4 Ni 0.5000 0.5000 0.0000
Ni5 Ni 0.5000 0.5000 0.2087
Ni6 Ni 0.5000 0.5000 0.4032
```


This entry pairs a crystal structure of PaGa2Ni3 with its theoretical powder XRD pattern. Radiation: Cu Kα. Structure: a cell relaxed with PBE.

The 8 most intense peaks (10° ≤ 2θ ≤ 90°), by angle:
hkl  2theta  I_rel
1 1 1  22.9  68
2 2 0  29.5  49
3 1 1  37.4  100
1 3 1  37.8  46
2 0 2  41.3  44
0 2 2  41.5  69
0 4 0  42.5  40
3 3 1  48.5  68

```
data_PaGa2Ni3
_chemical_formula_sum 'Pa4 Ga8 Ni12'
_symmetry_space_group_name_H-M 'C m c m'
_symmetry_Int_Tables_number 63
_symmetry_space_group_name_Hall '-C 2c 2'
_cell_length_a 8.6537
_cell_length_b 8.5015
_cell_length_c 5.0632
_cell_angle_alpha 90.00
_cell_angle_beta 90.00
_cell_angle_gamma 90.00
loop_
_atom_site_label
_atom_site_type_symbol
_atom_site_fract_x
_atom_site_fract_y
_atom_site_fract_z
Pa1 Pa 0.0000 0.2422 0.2500
Ga1 Ga 0.2406 0.5000 0.0000
Ni1 Ni 0.0000 0.4465 0.7500
Ni2 Ni 0.1798 0.2295 0.7500
```


This entry pairs a crystal structure of Pa3Ga3Ni2 with its theoretical powder XRD pattern. Radiation: Cu Kα. Structure: a cell relaxed with PBE.

The 8 most intense peaks (10° ≤ 2θ ≤ 90°), by angle:
hkl  2theta  I_rel
2 1 1  28.8  32
1 4 1  32.0  74
2 4 0  33.9  100
1 0 2  35.0  35
1 1 2  35.6  67
2 4 1  37.8  56
3 0 1  38.3  56
1 3 2  39.9  45

```
data_Pa3Ga3Ni2
_chemical_formula_sum 'Pa12 Ga12 Ni8'
_symmetry_space_group_name_H-M 'P n m a'
_symmetry_Int_Tables_number 62
_symmetry_space_group_name_Hall '-P 2ac 2n'
_cell_length_a 7.8130
_cell_length_b 14.3826
_cell_length_c 5.4289
_cell_angle_alpha 90.00
_cell_angle_beta 90.00
_cell_angle_gamma 90.00
loop_
_atom_site_label
_atom_site_type_symbol
_atom_site_fract_x
_atom_site_fract_y
_atom_site_fract_z
Pa1 Pa 0.0390 0.1154 0.1054
Pa2 Pa 0.1751 0.2500 0.6282
Ga1 Ga 0.1708 0.7500 0.6257
Ga2 Ga 0.1848 0.0347 0.6030
Ni1 Ni 0.1004 0.6100 0.3735
```


This entry pairs a crystal structure of PaGaNiPd with its theoretical powder XRD pattern. Radiation: Cu Kα. Structure: a cell relaxed with PBE.

The 8 most intense peaks (10° ≤ 2θ ≤ 90°), by angle:
hkl  2theta  I_rel
1 1 1  23.5  27
2 0 0  27.1  9
2 2 0  38.8  100
3 1 1  45.8  14
4 0 0  56.0  17
3 3 1  61.5  6
4 2 2  70.2  34
4 4 0  83.2  11

```
data_PaGaNiPd
_chemical_formula_sum 'Pa4 Ga4 Ni4 Pd4'
_symmetry_space_group_name_H-M 'F -4 3 m'
_symmetry_Int_Tables_number 216
_symmetry_space_group_name_Hall 'F -4 2 3'
_cell_length_a 6.5707
_cell_length_b 6.5707
_cell_length_c 6.5707
_cell_angle_alpha 90.00
_cell_angle_beta 90.00
_cell_angle_gamma 90.00
loop_
_atom_site_label
_atom_site_type_symbol
_atom_site_fract_x
_atom_site_fract_y
_atom_site_fract_z
Pa1 Pa 0.0000 0.0000 0.0000
Ga1 Ga 0.0000 0.0000 0.5000
Ni1 Ni 0.2500 0.2500 0.2500
Pd1 Pd 0.2500 0.2500 0.7500
```